Diffraction record for Tl9CdPb4. The powder diffraction line list is simulated, not measured: it uses a structure optimized by DFT (PBE) and CuKα.
Lines closer than 0.1° are merged.

Crystal structure
```
data_Tl9CdPb4
_symmetry_space_group_name_H-M 'P 63/m m c'
_symmetry_Int_Tables_number 194
_symmetry_space_group_name_Hall '-P 6c 2c'
_cell_length_a 9.8380
_cell_length_b 9.8380
_cell_length_c 10.7699
_cell_angle_alpha 90.00
_cell_angle_beta 90.00
_cell_angle_gamma 120.00
loop_
_atom_site_label
_atom_site_type_symbol
_atom_site_fract_x
_atom_site_fract_y
_atom_site_fract_z
_atom_site_occupancy
Tl1 Tl 0.0667 0.5333 0.2500 1
Tl2 Tl 0.2055 0.4109 0.5387 1
Cd1 Cd 0.3333 0.6667 0.7500 1
Pb1 Pb 0.0000 0.0000 0.0000 1
Pb2 Pb 0.1156 0.2312 0.2500 1
```

Principal peaks in the range 15 to 90 degrees two-theta, most intense first:
(2 1 2), 2θ = 32.39°, intensity 1000; (3 0 1), 2θ = 32.61°, intensity 730; (3 0 5), 2θ = 53.38°, intensity 410; (0 0 4), 2θ = 33.28°, intensity 242; (5 0 2), 2θ = 56.66°, intensity 226; (2 2 0), 2θ = 36.53°, intensity 165; (6 0 1), 2θ = 66.41°, intensity 162; (3 3 0), 2θ = 56.09°, intensity 154; (2 0 2), 2θ = 26.68°, intensity 146; (3 3 4), 2θ = 66.80°, intensity 143; (1 0 3), 2θ = 26.95°, intensity 129; (5 2 5), 2θ = 83.96°, intensity 124

=====

Diffraction record for USI3. The powder diffraction line list is simulated, not measured: it uses a structure optimized by DFT (PBE) and CuKα.
Lines closer than 0.1° are merged.

Crystal structure
```
data_USI3
_symmetry_space_group_name_H-M 'P 1 2/c 1'
_symmetry_Int_Tables_number 13
_symmetry_space_group_name_Hall '-P 2yc'
_cell_length_a 9.219
_cell_length_b 11.911
_cell_length_c 13.246
_cell_angle_alpha 90.00
_cell_angle_beta 99.34
_cell_angle_gamma 90.00
loop_
_atom_site_label
_atom_site_type_symbol
_atom_site_fract_x
_atom_site_fract_y
_atom_site_fract_z
_atom_site_occupancy
U1 U 0.081 0.135 0.123 1
S1 S 0.167 0.128 0.315 1
I1 I 0.067 0.125 0.604 1
I2 I 0.079 0.375 0.106 1
I3 I 0.376 0.123 0.077 1
```

Principal peaks in the range 15 to 90 degrees two-theta, most intense first:
(3 4 -2), 2θ = 43.29°, intensity 1000; (0 4 0), 2θ = 30.02°, intensity 876; (3 0 -2), 2θ = 30.42°, intensity 842; (1 0 -2), 2θ = 15.36°, intensity 671; (0 0 4), 2θ = 27.29°, intensity 623; (2 0 0), 2θ = 19.49°, intensity 574; (1 0 4), 2θ = 30.53°, intensity 517; (1 0 2), 2θ = 17.95°, intensity 477; (0 4 4), 2θ = 41.01°, intensity 445; (2 0 -2), 2θ = 21.92°, intensity 405; (1 4 0), 2θ = 31.62°, intensity 392; (0 3 0), 2θ = 22.40°, intensity 390

=====

Diffraction record for Mg3Zn3Cu. The powder diffraction line list is simulated, not measured: it uses a structure optimized by DFT (PBE) and CuKα.
Lines closer than 0.1° are merged.

Crystal structure
```
data_Mg3Zn3Cu
_symmetry_space_group_name_H-M 'P 63/m'
_symmetry_Int_Tables_number 176
_symmetry_space_group_name_Hall '-P 6c'
_cell_length_a 7.9713
_cell_length_b 7.9713
_cell_length_c 4.3744
_cell_angle_alpha 90.00
_cell_angle_beta 90.00
_cell_angle_gamma 120.00
loop_
_atom_site_label
_atom_site_type_symbol
_atom_site_fract_x
_atom_site_fract_y
_atom_site_fract_z
_atom_site_occupancy
Mg1 Mg 0.1431 0.2883 0.2500 1
Zn1 Zn 0.1087 0.5532 0.7500 1
Cu1 Cu 0.3333 0.6667 0.2500 1
```

Principal peaks in the range 15 to 90 degrees two-theta, most intense first:
(2 1 1), 2θ = 40.24°, intensity 1000; (0 0 2), 2θ = 41.28°, intensity 228; (3 0 1), 2θ = 44.49°, intensity 178; (2 1 3), 2θ = 74.55°, intensity 144; (2 1 0), 2θ = 34.37°, intensity 141; (3 3 2), 2θ = 85.53°, intensity 119; (5 0 1), 2θ = 71.68°, intensity 108; (3 3 0), 2θ = 70.94°, intensity 82; (3 1 0), 2θ = 47.47°, intensity 80; (2 2 0), 2θ = 45.52°, intensity 71; (1 0 2), 2θ = 43.40°, intensity 71; (2 1 2), 2θ = 54.76°, intensity 70

=====

Diffraction record for Rb2CoCuBr6. The powder diffraction line list is simulated, not measured: it uses a structure optimized by DFT (PBE) and CuKα.
Lines closer than 0.1° are merged.

Crystal structure
```
data_Rb2CoCuBr6
_symmetry_space_group_name_H-M 'I 4/m m m'
_symmetry_Int_Tables_number 139
_symmetry_space_group_name_Hall '-I 4 2'
_cell_length_a 7.526
_cell_length_b 7.526
_cell_length_c 10.476
_cell_angle_alpha 90.00
_cell_angle_beta 90.00
_cell_angle_gamma 90.00
loop_
_atom_site_label
_atom_site_type_symbol
_atom_site_fract_x
_atom_site_fract_y
_atom_site_fract_z
_atom_site_occupancy
Rb1 Rb 0.000 0.500 0.250 1
Co1 Co 0.000 0.000 0.000 1
Cu1 Cu 0.000 0.000 0.500 1
Br1 Br 0.000 0.000 0.275 1
Br2 Br 0.228 0.228 0.000 1
```

Principal peaks in the range 15 to 90 degrees two-theta, most intense first:
(2 0 2), 2θ = 29.22°, intensity 1000; (2 2 0), 2θ = 33.68°, intensity 772; (2 2 4), 2θ = 48.79°, intensity 484; (0 0 4), 2θ = 34.24°, intensity 363; (4 0 0), 2θ = 48.38°, intensity 252; (4 2 2), 2θ = 57.52°, intensity 235; (4 0 4), 2θ = 60.60°, intensity 231; (1 1 2), 2θ = 23.84°, intensity 153; (1 1 0), 2θ = 16.66°, intensity 128; (2 0 6), 2θ = 58.25°, intensity 108; (6 2 0), 2θ = 80.76°, intensity 91; (4 4 4), 2θ = 81.07°, intensity 89

=====

Diffraction record for Sr3LiCu3. The powder diffraction line list is simulated, not measured: it uses a structure optimized by DFT (PBE) and CuKα.
Lines closer than 0.1° are merged.

Crystal structure
```
data_Sr3LiCu3
_symmetry_space_group_name_H-M 'C m c m'
_symmetry_Int_Tables_number 63
_symmetry_space_group_name_Hall '-C 2c 2'
_cell_length_a 4.437
_cell_length_b 11.356
_cell_length_c 15.026
_cell_angle_alpha 90.00
_cell_angle_beta 90.00
_cell_angle_gamma 90.00
loop_
_atom_site_label
_atom_site_type_symbol
_atom_site_fract_x
_atom_site_fract_y
_atom_site_fract_z
_atom_site_occupancy
Sr1 Sr 0.000 0.017 0.250 1
Sr2 Sr 0.000 0.299 0.104 1
Li1 Li 0.000 0.000 0.000 1
Cu1 Cu 0.000 0.290 0.750 1
Cu2 Cu 0.000 0.408 0.603 1
```

Principal peaks in the range 15 to 90 degrees two-theta, most intense first:
(1 3 3), 2θ = 35.97°, intensity 1000; (1 3 0), 2θ = 31.06°, intensity 733; (1 1 4), 2θ = 32.20°, intensity 709; (2 0 0), 2θ = 40.67°, intensity 436; (1 1 3), 2θ = 27.99°, intensity 430; (0 0 6), 2θ = 35.86°, intensity 401; (0 4 3), 2θ = 36.37°, intensity 389; (1 1 2), 2θ = 24.59°, intensity 365; (1 3 6), 2θ = 48.15°, intensity 279; (2 0 6), 2θ = 55.32°, intensity 220; (2 4 3), 2θ = 55.69°, intensity 216; (0 6 3), 2θ = 51.62°, intensity 193

=====

Diffraction record for BaPH5. The powder diffraction line list is simulated, not measured: it uses a structure optimized by DFT (PBE) and CuKα.
Lines closer than 0.1° are merged.

Crystal structure
```
data_BaPH5
_symmetry_space_group_name_H-M 'C 1 m 1'
_symmetry_Int_Tables_number 8
_symmetry_space_group_name_Hall 'C -2y'
_cell_length_a 7.457
_cell_length_b 4.461
_cell_length_c 6.648
_cell_angle_alpha 90.00
_cell_angle_beta 116.78
_cell_angle_gamma 90.00
loop_
_atom_site_label
_atom_site_type_symbol
_atom_site_fract_x
_atom_site_fract_y
_atom_site_fract_z
_atom_site_occupancy
Ba1 Ba 0.000 0.000 0.000 1
P1 P 0.057 0.500 0.528 1
H1 H 0.219 0.500 0.145 1
H2 H 0.280 0.000 0.860 1
H3 H 0.433 0.235 0.380 1
H4 H 0.438 0.000 0.651 1
```

Principal peaks in the range 15 to 90 degrees two-theta, most intense first:
(1 1 -1), 2θ = 24.93°, intensity 1000; (2 0 -1), 2θ = 24.03°, intensity 627; (1 1 1), 2θ = 31.51°, intensity 561; (2 0 0), 2θ = 26.78°, intensity 397; (2 0 -2), 2θ = 29.98°, intensity 326; (0 0 2), 2θ = 30.12°, intensity 307; (0 2 2), 2θ = 51.20°, intensity 267; (3 1 -1), 2θ = 41.72°, intensity 230; (3 1 -2), 2θ = 43.37°, intensity 208; (2 2 0), 2θ = 49.20°, intensity 204; (1 1 -3), 2θ = 46.29°, intensity 182; (1 1 -2), 2θ = 33.62°, intensity 174

=====

Diffraction record for ScBe2CdPb. The powder diffraction line list is simulated, not measured: it uses a structure optimized by DFT (PBE) and CuKα.
Lines closer than 0.1° are merged.

Crystal structure
```
data_ScBe2CdPb
_symmetry_space_group_name_H-M 'P 4/m m m'
_symmetry_Int_Tables_number 123
_symmetry_space_group_name_Hall '-P 4 2'
_cell_length_a 4.494
_cell_length_b 4.494
_cell_length_c 5.411
_cell_angle_alpha 90.00
_cell_angle_beta 90.00
_cell_angle_gamma 90.00
loop_
_atom_site_label
_atom_site_type_symbol
_atom_site_fract_x
_atom_site_fract_y
_atom_site_fract_z
_atom_site_occupancy
Sc1 Sc 0.000 0.000 0.000 1
Be1 Be 0.000 0.500 0.500 1
Cd1 Cd 0.000 0.000 0.500 1
Pb1 Pb 0.500 0.500 0.000 1
```

Principal peaks in the range 15 to 90 degrees two-theta, most intense first:
(1 0 1), 2θ = 25.77°, intensity 1000; (1 1 0), 2θ = 28.08°, intensity 671; (1 1 2), 2θ = 43.95°, intensity 401; (2 1 1), 2θ = 48.30°, intensity 379; (2 0 0), 2θ = 40.13°, intensity 296; (2 0 2), 2θ = 52.97°, intensity 261; (0 0 2), 2θ = 33.11°, intensity 252; (3 1 2), 2θ = 75.57°, intensity 160; (1 1 1), 2θ = 32.68°, intensity 158; (0 0 1), 2θ = 16.38°, intensity 132; (1 0 3), 2θ = 54.85°, intensity 130; (2 1 3), 2θ = 70.10°, intensity 127